Simulated X-ray diffraction stick pattern
Compound: CaTmHg2
Radiation: Cu Kα (weighted mean of Kα1 and Kα2)
Structure: a crystal structure in the Materials Project, relaxed with GGA-PBE
Neutral-atom scattering factors, no anomalous dispersion.

Most intense lines, 2θ = 5–70°, in order of falling intensity:
hkl 2 2 0, 2θ 34.1, I = 100.0; hkl 4 2 2, 2θ 61.1, I = 37.7; hkl 4 0 0, 2θ 49.0, I = 18.2; hkl 2 0 0, 2θ 23.9, I = 11.4; hkl 1 1 1, 2θ 20.7, I = 9.5; hkl 3 1 1, 2θ 40.2, I = 5.4; hkl 4 2 0, 2θ 55.2, I = 5.3; hkl 2 2 2, 2θ 42.1, I = 3.8; hkl 3 3 1, 2θ 53.7, I = 2.4; hkl 5 1 1, 2θ 65.2, I = 1.9

Crystal structure
a b c (Å): 7.436 7.436 7.436
angles (deg): 90.00 90.00 90.00
Fractional positions:
Ca 0.000 0.000 0.000
Ca 0.000 0.500 0.500
Ca 0.500 0.000 0.500
Ca 0.500 0.500 0.000
Tm 0.000 0.000 0.500
Tm 0.000 0.500 0.000
Tm 0.500 0.000 0.000
Tm 0.500 0.500 0.500
Hg 0.250 0.250 0.250
Hg 0.250 0.250 0.750
Hg 0.250 0.750 0.250
Hg 0.250 0.750 0.750
Hg 0.750 0.250 0.250
Hg 0.750 0.250 0.750
Hg 0.750 0.750 0.250
Hg 0.750 0.750 0.750

***

Simulated X-ray diffraction stick pattern
Compound: K2UI5
Radiation: Cu Kα (weighted mean of Kα1 and Kα2)
Structure: a crystal structure in the Materials Project, relaxed with GGA-PBE
Neutral-atom scattering factors, no anomalous dispersion.

Most intense lines, 2θ = 5–70°, in order of falling intensity:
hkl 1 0 1, 2θ 11.2, I = 100.0; hkl 1 2 2, 2θ 27.0, I = 74.2; hkl 4 2 0, 2θ 30.3, I = 64.7; hkl 2 0 0, 2θ 12.0, I = 63.1; hkl 4 0 1, 2θ 26.0, I = 60.3; hkl 2 2 2, 2θ 29.0, I = 57.2; hkl 2 1 3, 2θ 32.6, I = 55.0; hkl 3 0 2, 2θ 26.4, I = 46.0; hkl 2 2 1, 2θ 23.7, I = 43.7; hkl 0 4 0, 2θ 36.4, I = 41.2

Crystal structure
a b c (Å): 14.724 9.873 9.309
angles (deg): 90.00 90.00 90.00
Fractional positions:
K 0.172 0.005 0.063
K 0.172 0.495 0.063
K 0.328 0.505 0.563
K 0.328 0.995 0.563
K 0.672 0.005 0.437
K 0.672 0.495 0.437
K 0.828 0.505 0.937
K 0.828 0.995 0.937
U 0.004 0.250 0.575
U 0.496 0.750 0.075
U 0.504 0.250 0.925
U 0.996 0.750 0.425
I 0.006 0.250 0.927
I 0.074 0.544 0.667
I 0.074 0.956 0.667
I 0.182 0.250 0.380
I 0.205 0.750 0.341
I 0.295 0.250 0.841
I 0.318 0.750 0.880
I 0.426 0.044 0.167
I 0.426 0.456 0.167
I 0.494 0.750 0.427
I 0.506 0.250 0.573
I 0.574 0.544 0.833
I 0.574 0.956 0.833
I 0.682 0.250 0.120
I 0.705 0.750 0.159
I 0.795 0.250 0.659
I 0.818 0.750 0.620
I 0.926 0.044 0.333
I 0.926 0.456 0.333
I 0.994 0.750 0.073